Entry 1:
Structure and computed powder X-ray diffraction pattern of Li2MnCoO4 (a structure optimized by DFT (GGA+U); copper Kα).
Kinematic intensities with the Lorentz-polarization factor, no thermal factor.

Most intense lines, 2θ = 10–90°, low angle first:
2θ (°)	I (rel.)
18.2	100
33.2	25
36.6	17
36.7	11
37.5	9
39.7	36
44.8	47
58.9	9
61.0	8
61.5	8
61.6	8
66.1	10

Structure:
a = 5.0358 Å, b = 5.0852 Å, c = 6.0990 Å
α = 101.86°, β = 95.07°, γ = 100.83°
Atoms (fractional coordinates):
1 Li 0.0000 0.0000 0.0000
2 Li 0.0000 0.0000 0.5000
3 Li 0.4934 0.0046 0.2533
4 Li 0.5066 0.9954 0.7467
5 Mn 0.2502 0.4995 0.8715
6 Mn 0.7498 0.5005 0.1285
7 Co 0.2505 0.4994 0.3766
8 Co 0.7495 0.5006 0.6234
9 O 0.1041 0.7314 0.6937
10 O 0.1171 0.7304 0.2027
11 O 0.3865 0.2642 0.0509
12 O 0.3915 0.2705 0.5497
13 O 0.6085 0.7295 0.4503
14 O 0.6135 0.7358 0.9491
15 O 0.8829 0.2696 0.7973
16 O 0.8959 0.2686 0.3063

Entry 2:
Structure and computed powder X-ray diffraction pattern of Li7Mn2Co3O12 (a structure optimized by DFT (GGA+U); copper Kα).
Kinematic intensities with the Lorentz-polarization factor, no thermal factor.

Most intense lines, 2θ = 10–90°, low angle first:
2θ (°)	I (rel.)
18.2	100
35.7	24
36.1	12
37.6	7
43.0	57
44.0	25
47.7	8
56.5	13
61.5	8
62.9	14
63.2	8
63.4	13

Structure:
a = 6.5405 Å, b = 6.5405 Å, c = 12.0599 Å
α = 103.83°, β = 103.83°, γ = 26.00°
Atoms (fractional coordinates):
1 Li 0.0000 0.0000 0.0000
2 Li 0.9996 0.9996 0.2413
3 Li 0.0004 0.0004 0.7587
4 Li 0.3360 0.3360 0.0685
5 Li 0.3371 0.3371 0.5951
6 Li 0.6629 0.6629 0.4049
7 Li 0.6640 0.6640 0.9315
8 Mn 0.3310 0.3310 0.3329
9 Mn 0.6690 0.6690 0.6671
10 Co 0.0000 0.0000 0.5000
11 Co 0.3481 0.3481 0.8446
12 Co 0.6519 0.6519 0.1554
13 O 0.1665 0.1665 0.5556
14 O 0.1675 0.1675 0.7709
15 O 0.1717 0.1717 0.0541
16 O 0.1785 0.1785 0.2917
17 O 0.4922 0.4922 0.3841
18 O 0.4924 0.4924 0.8686
19 O 0.5076 0.5076 0.1314
20 O 0.5078 0.5078 0.6159
21 O 0.8215 0.8215 0.7083
22 O 0.8283 0.8283 0.9459
23 O 0.8325 0.8325 0.2291
24 O 0.8335 0.8335 0.4444

Entry 3:
Structure and computed powder X-ray diffraction pattern of Li4MnCo2O7 (a structure optimized by DFT (GGA+U); copper Kα).
Kinematic intensities with the Lorentz-polarization factor, no thermal factor.

Most intense lines, 2θ = 10–90°, low angle first:
2θ (°)	I (rel.)
18.4	100
35.3	16
36.5	24
37.8	7
42.4	31
44.4	52
47.6	9
58.4	10
62.8	15
63.3	8
63.4	8
64.1	7

Structure:
a = 5.1338 Å, b = 6.4957 Å, c = 7.7342 Å
α = 86.86°, β = 75.75°, γ = 83.99°
Atoms (fractional coordinates):
1 Li 0.0000 0.0000 0.0000
2 Li 0.0700 0.8599 0.3502
3 Li 0.2011 0.5856 0.0644
4 Li 0.3471 0.2864 0.7943
5 Li 0.4982 0.9947 0.4999
6 Li 0.6483 0.7286 0.2081
7 Li 0.7931 0.4244 0.9269
8 Li 0.9261 0.1404 0.6529
9 Mn 0.2837 0.4348 0.4301
10 Mn 0.8549 0.2859 0.2822
11 Co 0.1388 0.7206 0.7166
12 Co 0.4168 0.1401 0.1401
13 Co 0.5694 0.8690 0.8649
14 Co 0.7112 0.5746 0.5719
15 O 0.0562 0.4437 0.6726
16 O 0.1047 0.2886 0.0541
17 O 0.1679 0.1659 0.3745
18 O 0.2479 0.9759 0.7444
19 O 0.3350 0.8607 0.1069
20 O 0.3655 0.7075 0.4779
21 O 0.4537 0.5952 0.8000
22 O 0.5508 0.4167 0.1957
23 O 0.6323 0.2993 0.5288
24 O 0.6475 0.1382 0.9040
25 O 0.7413 0.0264 0.2527
26 O 0.8354 0.8326 0.6179
27 O 0.8977 0.7164 0.9378
28 O 0.9355 0.5645 0.3317

Entry 4:
Structure and computed powder X-ray diffraction pattern of Li7Mn2Co3O12 (a structure optimized by DFT (GGA+U); copper Kα).
Kinematic intensities with the Lorentz-polarization factor, no thermal factor.

Most intense lines, 2θ = 10–90°, low angle first:
2θ (°)	I (rel.)
18.4	100
34.7	18
36.3	12
36.8	11
37.2	7
37.8	7
41.6	34
44.1	28
44.9	26
62.3	16
62.9	16
64.0	7

Structure:
a = 4.9876 Å, b = 5.0357 Å, c = 9.8811 Å
α = 86.41°, β = 78.18°, γ = 62.79°
Atoms (fractional coordinates):
1 Li 0.0000 0.0000 0.0000
2 Li 0.0803 0.3265 0.7587
3 Li 0.2371 0.0155 0.2407
4 Li 0.4154 0.6622 0.7621
5 Li 0.5983 0.3267 0.2398
6 Li 0.7459 0.0056 0.7571
7 Li 0.9181 0.6737 0.2418
8 Mn 0.1645 0.6640 0.5005
9 Mn 0.5031 0.0031 0.4998
10 Co 0.3340 0.3214 0.0036
11 Co 0.6655 0.6813 0.9966
12 Co 0.8333 0.3344 0.4997
13 O 0.0081 0.6649 0.8826
14 O 0.1138 0.0146 0.6062
15 O 0.1921 0.3493 0.3853
16 O 0.3380 0.6407 0.1136
17 O 0.3778 0.0128 0.8842
18 O 0.4761 0.3197 0.6150
19 O 0.5539 0.6522 0.3954
20 O 0.6205 0.9862 0.1171
21 O 0.6631 0.3597 0.8888
22 O 0.8037 0.6482 0.6151
23 O 0.8624 0.0188 0.3830
24 O 0.9923 0.3381 0.1162

Entry 5:
Structure and computed powder X-ray diffraction pattern of Li7Mn4CoO12 (a structure optimized by DFT (GGA+U); copper Kα).
Kinematic intensities with the Lorentz-polarization factor, no thermal factor.

Most intense lines, 2θ = 10–90°, low angle first:
2θ (°)	I (rel.)
12.2	17
18.3	100
34.6	18
36.3	23
41.8	33
44.2	57
47.4	10
58.2	10
62.3	16
62.6	16
63.5	8
64.9	11

Structure:
a = 10.5664 Å, b = 10.5664 Å, c = 15.7052 Å
α = 112.26°, β = 112.26°, γ = 15.62°
Atoms (fractional coordinates):
1 Li 0.1239 0.1239 0.4598
2 Li 0.1266 0.1266 0.1289
3 Li 0.1290 0.1290 0.7932
4 Li 0.2500 0.2500 0.7500
5 Li 0.3709 0.3709 0.7067
6 Li 0.3733 0.3733 0.3705
7 Li 0.3763 0.3763 0.0395
8 Li 0.6237 0.6237 0.9605
9 Li 0.6267 0.6267 0.6295
10 Li 0.6291 0.6291 0.2933
11 Li 0.7500 0.7500 0.2500
12 Li 0.8710 0.8710 0.2068
13 Li 0.8734 0.8734 0.8711
14 Li 0.8761 0.8761 0.5402
15 Mn 0.0013 0.0013 0.1662
16 Mn 0.2488 0.2488 0.4122
17 Mn 0.2512 0.2512 0.0877
18 Mn 0.4989 0.4989 0.3338
19 Mn 0.5011 0.5011 0.6662
20 Mn 0.7488 0.7488 0.9123
21 Mn 0.7512 0.7512 0.5878
22 Mn 0.9987 0.9987 0.8338
23 Co 0.0000 0.0000 0.5000
24 Co 0.5000 0.5000 0.0000
25 O 0.0573 0.0573 0.9871
26 O 0.0582 0.0582 0.3211
27 O 0.0600 0.0600 0.6512
28 O 0.1931 0.1931 0.5988
29 O 0.1941 0.1941 0.2903
30 O 0.1969 0.1969 0.9443
31 O 0.3031 0.3031 0.5559
32 O 0.3060 0.3060 0.2098
33 O 0.3068 0.3068 0.9009
34 O 0.4399 0.4399 0.8489
35 O 0.4419 0.4419 0.1788
36 O 0.4431 0.4431 0.5135
37 O 0.5569 0.5569 0.4865
38 O 0.5581 0.5581 0.8212
39 O 0.5601 0.5601 0.1511
40 O 0.6932 0.6932 0.0991
41 O 0.6940 0.6940 0.7902
42 O 0.6969 0.6969 0.4441
43 O 0.8031 0.8031 0.0557
44 O 0.8059 0.8059 0.7097
45 O 0.8069 0.8069 0.4012
46 O 0.9400 0.9400 0.3488
47 O 0.9418 0.9418 0.6789
48 O 0.9427 0.9427 0.0129

Entry 6:
Structure and computed powder X-ray diffraction pattern of Li7Mn4CoO12 (a structure optimized by DFT (GGA+U); copper Kα).
Kinematic intensities with the Lorentz-polarization factor, no thermal factor.

Most intense lines, 2θ = 10–90°, low angle first:
2θ (°)	I (rel.)
16.6	8
18.3	100
33.7	19
36.1	23
40.8	34
44.1	57
47.0	10
58.1	10
61.1	17
62.1	16
63.3	8
64.8	8

Structure:
a = 5.3600 Å, b = 2.8755 Å, c = 14.5697 Å
α = 90.00°, β = 92.94°, γ = 90.00°
Atoms (fractional coordinates):
1 Li 0.0000 0.0000 0.0000
2 Li 0.0000 0.0000 0.5000
3 Li 0.1640 0.5000 0.3434
4 Li 0.3515 0.0000 0.6558
5 Li 0.5000 0.5000 0.0000
6 Li 0.6485 0.0000 0.3442
7 Li 0.8360 0.5000 0.6566
8 Mn 0.1706 0.5000 0.8296
9 Mn 0.3299 0.0000 0.1683
10 Mn 0.6701 0.0000 0.8317
11 Mn 0.8294 0.5000 0.1704
12 Co 0.5000 0.5000 0.5000
13 O 0.0227 0.0000 0.7523
14 O 0.1859 0.5000 0.0900
15 O 0.2223 0.5000 0.5697
16 O 0.3106 0.0000 0.9088
17 O 0.3506 0.0000 0.4261
18 O 0.4747 0.5000 0.2443
19 O 0.5253 0.5000 0.7557
20 O 0.6494 0.0000 0.5739
21 O 0.6894 0.0000 0.0912
22 O 0.7777 0.5000 0.4303
23 O 0.8141 0.5000 0.9100
24 O 0.9773 0.0000 0.2477

Entry 7:
Structure and computed powder X-ray diffraction pattern of Li4MnCo2O7 (a structure optimized by DFT (GGA+U); copper Kα).
Kinematic intensities with the Lorentz-polarization factor, no thermal factor.

Most intense lines, 2θ = 10–90°, low angle first:
2θ (°)	I (rel.)
18.3	100
34.5	19
36.3	25
37.5	8
41.6	35
44.2	56
47.2	11
58.2	9
62.2	17
62.4	17
64.9	8
80.1	7

Structure:
a = 2.9904 Å, b = 2.9904 Å, c = 33.9717 Å
α = 92.99°, β = 92.99°, γ = 57.46°
Atoms (fractional coordinates):
1 Li 0.0000 0.0000 0.0000
2 Li 0.0000 0.0000 0.5000
3 Li 0.1436 0.1436 0.2151
4 Li 0.2922 0.2922 0.9323
5 Li 0.4274 0.4274 0.6423
6 Li 0.5726 0.5726 0.3577
7 Li 0.7078 0.7078 0.0677
8 Li 0.8564 0.8564 0.7849
9 Mn 0.4270 0.4270 0.1428
10 Mn 0.5730 0.5730 0.8572
11 Co 0.1429 0.1429 0.7140
12 Co 0.2855 0.2855 0.4287
13 Co 0.7145 0.7145 0.5713
14 Co 0.8571 0.8571 0.2860
15 O 0.0589 0.0589 0.1110
16 O 0.0854 0.0854 0.6032
17 O 0.1992 0.1992 0.8234
18 O 0.2131 0.2131 0.3190
19 O 0.3428 0.3428 0.5393
20 O 0.3597 0.3597 0.0358
21 O 0.4988 0.4988 0.7470
22 O 0.5012 0.5012 0.2530
23 O 0.6403 0.6403 0.9642
24 O 0.6572 0.6572 0.4607
25 O 0.7869 0.7869 0.6810
26 O 0.8008 0.8008 0.1766
27 O 0.9146 0.9146 0.3968
28 O 0.9411 0.9411 0.8890

Entry 8:
Structure and computed powder X-ray diffraction pattern of Li4MnCo2O7 (a structure optimized by DFT (GGA+U); copper Kα).
Kinematic intensities with the Lorentz-polarization factor, no thermal factor.

Most intense lines, 2θ = 10–90°, low angle first:
2θ (°)	I (rel.)
18.2	100
35.1	14
36.0	24
37.4	6
42.4	27
43.7	53
47.2	9
57.5	9
62.3	14
62.7	13
62.9	7
64.0	8

Structure:
a = 9.9102 Å, b = 9.9102 Å, c = 9.8085 Å
α = 113.21°, β = 113.21°, γ = 16.88°
Atoms (fractional coordinates):
1 Li 0.0000 0.0000 0.0000
2 Li 0.1401 0.1401 0.5661
3 Li 0.2961 0.2961 0.1438
4 Li 0.4338 0.4338 0.7176
5 Li 0.5064 0.5064 0.5033
6 Li 0.5708 0.5708 0.2879
7 Li 0.7175 0.7175 0.8456
8 Li 0.8762 0.8762 0.4522
9 Mn 0.2189 0.2189 0.3555
10 Mn 0.6426 0.6426 0.0606
11 Co 0.0673 0.0673 0.7610
12 Co 0.3599 0.3599 0.9361
13 Co 0.7940 0.7940 0.6475
14 Co 0.9421 0.9421 0.2385
15 O 0.0358 0.0358 0.3819
16 O 0.1112 0.1112 0.1569
17 O 0.1767 0.1767 0.9731
18 O 0.2598 0.2598 0.7436
19 O 0.3244 0.3244 0.5416
20 O 0.3999 0.3999 0.3147
21 O 0.4608 0.4608 0.1153
22 O 0.5490 0.5490 0.8964
23 O 0.6110 0.6110 0.6878
24 O 0.6880 0.6880 0.4537
25 O 0.7406 0.7406 0.2398
26 O 0.8265 0.8265 0.0293
27 O 0.8929 0.8929 0.8301
28 O 0.9745 0.9745 0.6226